(1)
Starting from a DFT-relaxed cell (PBE+U, the Materials Project), the PXRD pattern of Ca2FeClO3 was simulated for Cu Kα (λ = 1.5418 Å).
Neutral-atom scattering factors, no anomalous dispersion.

Peak list (10 most intense, 5 to 70 degrees two-theta, in order of rising 2θ)
d (Å), intensity
13.680, 15.5
6.840, 52.9
2.759, 97.1
2.572, 100.0
2.240, 29.4
2.147, 16.8
1.951, 70.8
1.554, 37.9
1.471, 12.9
1.380, 25.7

abc: 3.9014 3.9014 13.6804
angles: 90.00 90.00 90.00
Fractional coordinates of all 14 atoms:
Ca: 0.2500 0.2500 0.0943
Ca: 0.2500 0.2500 0.3406
Ca: 0.7500 0.7500 0.6594
Ca: 0.7500 0.7500 0.9057
Fe: 0.2500 0.2500 0.7910
Fe: 0.7500 0.7500 0.2090
Cl: 0.2500 0.2500 0.5761
Cl: 0.7500 0.7500 0.4239
O: 0.2500 0.2500 0.9313
O: 0.2500 0.7500 0.2334
O: 0.2500 0.7500 0.7666
O: 0.7500 0.2500 0.2334
O: 0.7500 0.2500 0.7666
O: 0.7500 0.7500 0.0687



(2)
Starting from a DFT-relaxed cell (PBE+U, the Materials Project), the PXRD pattern of CaFeClO2 was simulated for Cu Kα (λ = 1.5418 Å).
Neutral-atom scattering factors, no anomalous dispersion.

Peak list (10 most intense, 5 to 70 degrees two-theta, in order of rising 2θ)
d (Å), intensity
8.562, 100.0
3.439, 34.0
3.225, 43.2
2.854, 35.6
2.645, 31.6
2.540, 35.2
2.469, 21.1
2.146, 23.3
1.940, 27.4
1.804, 21.2

abc: 5.4502 5.4502 8.8322
angles: 103.26 103.26 41.69
Fractional coordinates of all 10 atoms:
Ca: 0.1076 0.1076 0.2920
Ca: 0.8924 0.8924 0.7080
Fe: 0.3608 0.3608 0.9980
Fe: 0.6392 0.6392 0.0020
Cl: 0.1654 0.1654 0.6230
Cl: 0.8346 0.8346 0.3770
O: 0.1853 0.1853 0.0577
O: 0.4758 0.4758 0.8382
O: 0.5242 0.5242 0.1618
O: 0.8147 0.8147 0.9423



(3)
Starting from a DFT-relaxed cell (PBE+U, the Materials Project), the PXRD pattern of CaFeClO2 was simulated for Cu Kα (λ = 1.5418 Å).
Neutral-atom scattering factors, no anomalous dispersion.

Peak list (10 most intense, 5 to 70 degrees two-theta, in order of rising 2θ)
d (Å), intensity
12.996, 100.0
4.332, 26.6
3.423, 78.1
3.248, 32.6
2.850, 61.7
2.599, 24.4
2.497, 30.7
2.342, 26.3
2.332, 66.0
1.805, 28.5

abc: 3.6960 3.6960 13.0631
angles: 94.52 94.52 78.23
Fractional coordinates of all 10 atoms:
Ca: 0.0000 0.0000 0.0000
Ca: 0.2417 0.2417 0.6460
Fe: 0.5322 0.5322 0.4346
Fe: 0.5382 0.5382 0.1680
Cl: 0.1163 0.1163 0.4310
Cl: 0.9196 0.9196 0.7837
O: 0.2032 0.2032 0.1562
O: 0.5889 0.5889 0.5804
O: 0.6026 0.6026 0.0259
O: 0.6417 0.6417 0.3104



(4)
Starting from a DFT-relaxed cell (PBE+U, the Materials Project), the PXRD pattern of Ca5V3ClO12 was simulated for Cu Kα (λ = 1.5418 Å).
Neutral-atom scattering factors, no anomalous dispersion.

Peak list (10 most intense, 5 to 70 degrees two-theta, in order of rising 2θ)
d (Å), intensity
3.729, 17.2
3.380, 23.3
3.023, 100.0
2.981, 63.6
2.828, 62.5
2.328, 19.3
2.052, 45.4
1.875, 28.5
1.754, 16.9
1.690, 25.9

abc: 10.3258 10.3258 6.7602
angles: 90.00 90.00 120.00
Fractional coordinates of all 42 atoms:
Ca: 0.0324 0.2671 0.2500
Ca: 0.2347 0.9676 0.2500
Ca: 0.2671 0.2347 0.7500
Ca: 0.3333 0.6667 0.5038
Ca: 0.3333 0.6667 0.9962
Ca: 0.6667 0.3333 0.0038
Ca: 0.6667 0.3333 0.4962
Ca: 0.7329 0.7653 0.2500
Ca: 0.7653 0.0324 0.7500
Ca: 0.9676 0.7329 0.7500
V: 0.0301 0.6184 0.2500
V: 0.3816 0.4118 0.2500
V: 0.4118 0.0301 0.7500
V: 0.5882 0.9699 0.2500
V: 0.6184 0.5882 0.7500
V: 0.9699 0.3816 0.7500
Cl: 0.0000 0.0000 0.0000
Cl: 0.0000 0.0000 0.5000
O: 0.0870 0.7391 0.0483
O: 0.0870 0.7391 0.4517
O: 0.1407 0.5319 0.2500
O: 0.1589 0.5106 0.7500
O: 0.2609 0.3479 0.0483
O: 0.2609 0.3479 0.4517
O: 0.3479 0.0870 0.5483
O: 0.3479 0.0870 0.9517
O: 0.3518 0.8411 0.7500
O: 0.3911 0.8593 0.2500
O: 0.4681 0.6089 0.2500
O: 0.4894 0.6482 0.7500
O: 0.5106 0.3518 0.2500
O: 0.5319 0.3911 0.7500
O: 0.6089 0.1407 0.7500
O: 0.6482 0.1589 0.2500
O: 0.6521 0.9130 0.0483
O: 0.6521 0.9130 0.4517
O: 0.7391 0.6521 0.5483
O: 0.7391 0.6521 0.9517
O: 0.8411 0.4894 0.2500
O: 0.8593 0.4681 0.7500
O: 0.9130 0.2609 0.5483
O: 0.9130 0.2609 0.9517



(5)
Starting from a DFT-relaxed cell (PBE+U, the Materials Project), the PXRD pattern of CaCo4Cu3O12 was simulated for Cu Kα (λ = 1.5418 Å).
Neutral-atom scattering factors, no anomalous dispersion.

Peak list (10 most intense, 5 to 70 degrees two-theta, in order of rising 2θ)
d (Å), intensity
5.133, 2.7
2.963, 3.4
2.566, 100.0
2.295, 5.5
2.095, 1.3
1.940, 2.8
1.815, 25.6
1.711, 1.3
1.548, 0.9
1.482, 47.7

abc: 6.2864 6.2864 6.2864
angles: 109.47 109.47 109.47
Fractional coordinates of all 20 atoms:
Ca: 0.0000 0.0000 0.0000
Co: 0.0000 0.0000 0.5000
Co: 0.0000 0.5000 0.0000
Co: 0.5000 0.0000 0.0000
Co: 0.5000 0.5000 0.5000
Cu: 0.0000 0.5000 0.5000
Cu: 0.5000 0.0000 0.5000
Cu: 0.5000 0.5000 0.0000
O: 0.1350 0.3092 0.8258
O: 0.1742 0.4834 0.3092
O: 0.1742 0.8650 0.6908
O: 0.3092 0.1742 0.4834
O: 0.3092 0.8258 0.1350
O: 0.4834 0.3092 0.1742
O: 0.5166 0.6908 0.8258
O: 0.6908 0.1742 0.8650
O: 0.6908 0.8258 0.5166
O: 0.8258 0.1350 0.3092
O: 0.8258 0.5166 0.6908
O: 0.8650 0.6908 0.1742



(6)
Starting from a DFT-relaxed cell (PBE+U, the Materials Project), the PXRD pattern of CaCo4Cu3O12 was simulated for Cu Kα (λ = 1.5418 Å).
Neutral-atom scattering factors, no anomalous dispersion.

Peak list (10 most intense, 5 to 70 degrees two-theta, in order of rising 2θ)
d (Å), intensity
5.188, 5.3
2.599, 100.0
2.590, 97.3
2.319, 5.5
1.836, 32.9
1.831, 16.4
1.501, 16.1
1.499, 47.5
1.496, 15.8
1.493, 15.8

abc: 6.3336 6.3578 6.3630
angles: 109.41 109.52 109.36
Fractional coordinates of all 20 atoms:
Ca: 0.0000 0.0000 0.0000
Co: 0.0000 0.0000 0.5000
Co: 0.0000 0.5000 0.0000
Co: 0.5000 0.0000 0.0000
Co: 0.5000 0.5000 0.5000
Cu: 0.0000 0.5000 0.5000
Cu: 0.5000 0.0000 0.5000
Cu: 0.5000 0.5000 0.0000
O: 0.1382 0.8296 0.3067
O: 0.1743 0.6906 0.8595
O: 0.1759 0.3146 0.4806
O: 0.3058 0.4848 0.1654
O: 0.3097 0.1401 0.8320
O: 0.4835 0.1736 0.3145
O: 0.5165 0.8264 0.6855
O: 0.6903 0.8599 0.1680
O: 0.6942 0.5152 0.8346
O: 0.8241 0.6854 0.5194
O: 0.8257 0.3094 0.1405
O: 0.8618 0.1704 0.6933



(7)
Starting from a DFT-relaxed cell (PBE+U, the Materials Project), the PXRD pattern of Sr6Ca2Co7CuO24 was simulated for Cu Kα (λ = 1.5418 Å).
Neutral-atom scattering factors, no anomalous dispersion.

Peak list (10 most intense, 5 to 70 degrees two-theta, in order of rising 2θ)
d (Å), intensity
7.710, 1.3
5.442, 1.4
4.446, 1.9
3.443, 1.1
2.723, 100.0
2.322, 1.1
2.223, 9.3
1.925, 39.7
1.572, 37.1
1.361, 22.3

abc: 7.6961 7.6961 7.7102
angles: 90.00 90.00 90.01
Fractional coordinates of all 40 atoms:
Sr: 0.2494 0.2494 0.0000
Sr: 0.2493 0.2493 0.5024
Sr: 0.2496 0.7504 0.9999
Sr: 0.7504 0.2496 0.9999
Sr: 0.7506 0.7506 0.0000
Sr: 0.7507 0.7507 0.5024
Ca: 0.2493 0.7507 0.5030
Ca: 0.7507 0.2493 0.5030
Co: 0.0000 0.0000 0.2524
Co: 0.0000 0.5000 0.2522
Co: 0.0000 0.5000 0.7501
Co: 0.5000 0.0000 0.2522
Co: 0.5000 0.0000 0.7501
Co: 0.5000 0.5000 0.2526
Co: 0.5000 0.5000 0.7504
Cu: 0.0000 0.0000 0.7504
O: 0.0000 0.0000 0.0057
O: 0.0000 0.0000 0.4976
O: 0.0000 0.5000 0.0040
O: 0.0000 0.5000 0.4985
O: 0.0025 0.7461 0.7480
O: 0.0024 0.7469 0.2543
O: 0.2501 0.5011 0.2540
O: 0.2518 0.5019 0.7480
O: 0.2531 0.9976 0.2543
O: 0.2539 0.9975 0.7480
O: 0.4981 0.7482 0.7480
O: 0.4989 0.7499 0.2540
O: 0.5000 0.0000 0.0040
O: 0.5000 0.0000 0.4985
O: 0.5000 0.5000 0.5057
O: 0.5000 0.5000 0.9959
O: 0.5011 0.2501 0.2540
O: 0.5019 0.2518 0.7480
O: 0.7461 0.0025 0.7480
O: 0.7469 0.0024 0.2543
O: 0.7482 0.4981 0.7480
O: 0.7499 0.4989 0.2540
O: 0.9976 0.2531 0.2543
O: 0.9975 0.2539 0.7480